LuMgAu2: simulated X-ray powder pattern (Cu Kα (λ = 1.5418 Å)), based on a crystal structure in OQMD, relaxed with GGA-PBE.
Kinematic intensities with the Lorentz-polarization factor, no thermal factor.

a b c (Å): 4.8092 4.8092 8.3658
angles (deg): 90.00 90.00 120.00
Space group P6_3/mmc (No. 194)
Symmetry-distinct sites (fractional):
Lu 0.0000 0.0000 0.0000
Mg 0.3333 0.6667 0.2500
Au 0.3333 0.6667 0.5861

Most intense lines, 2θ from 10° to 80°, by angle:
index  Position (°2θ)  I/Imax
0 0 2  21.24  45
1 0 1  23.87  41
1 1 0  37.40  100
1 0 3  38.87  68
1 1 2  43.41  42
1 0 4  48.72  20
2 0 3  55.04  25
3 0 0  67.46  18
2 1 3  68.44  26
1 0 6  71.33  13
2 1 4  75.61  11
2 2 0  79.76  12